Diffraction record for Nb12Al3Zn. The PXRD pattern is theoretical, not measured: it uses a crystal structure in Alexandria, relaxed with PBE and Cu Ka.
Peak positions follow from Bragg's law for the DFT cell and can differ from measured ones.

Most intense lines, 5° ≤ 2θ ≤ 70°, low angle first:
| 2θ (°) | d_spacing | I (rel.) |
| --- | --- | --- |
| 24.18 | 3.681 | 24 |
| 38.63 | 2.331 | 100 |
| 38.76 | 2.323 | 50 |
| 42.50 | 2.127 | 38 |
| 61.73 | 1.503 | 21 |
| 67.25 | 1.392 | 18 |

Structure:
```
16
Lattice="5.211 0.000 0.000 0.000 5.216 0.000 0.000 0.000 10.381" Properties=species:S:1:pos:R:3 pbc="T T T"
Nb 0.000 0.000 1.294
Nb 0.000 0.000 3.870
Nb 0.000 0.000 6.511
Nb 0.000 0.000 9.088
Nb 1.300 2.608 5.191
Nb 1.307 2.608 0.000
Nb 2.606 1.317 2.592
Nb 2.606 1.317 7.790
Nb 2.606 3.899 2.592
Nb 2.606 3.899 7.790
Nb 3.904 2.608 0.000
Nb 3.911 2.608 5.191
Al 0.000 2.608 2.601
Al 0.000 2.608 7.781
Al 2.606 0.000 5.191
Zn 2.606 0.000 0.000
```

***

Diffraction record for TbPm2Tl3. The PXRD pattern is theoretical, not measured: it uses a crystal structure in Alexandria, relaxed with PBE and Cu Ka.
Peak positions follow from Bragg's law for the DFT cell and can differ from measured ones.

Most intense lines, 5° ≤ 2θ ≤ 70°, low angle first:
| 2θ (°) | d_spacing | I (rel.) |
| --- | --- | --- |
| 32.70 | 2.739 | 100 |
| 33.11 | 2.706 | 49 |
| 47.52 | 1.913 | 18 |
| 58.09 | 1.588 | 19 |
| 58.88 | 1.568 | 38 |
| 68.52 | 1.369 | 12 |

Structure:
```
6
Lattice="3.826 0.000 0.000 0.000 3.826 0.000 0.000 0.000 11.766" Properties=species:S:1:pos:R:3 pbc="T T T"
Tb 0.000 0.000 0.000
Pm 0.000 0.000 3.883
Pm 0.000 0.000 7.883
Tl 1.913 1.913 1.879
Tl 1.913 1.913 5.883
Tl 1.913 1.913 9.887
```

***

Diffraction record for Ho5CuSn4. The PXRD pattern is theoretical, not measured: it uses a crystal structure in Alexandria, relaxed with PBE and Cu Ka.
Peak positions follow from Bragg's law for the DFT cell and can differ from measured ones.

Most intense lines, 5° ≤ 2θ ≤ 70°, low angle first:
| 2θ (°) | d_spacing | I (rel.) |
| --- | --- | --- |
| 29.00 | 3.079 | 35 |
| 29.48 | 3.030 | 100 |
| 41.83 | 2.160 | 61 |
| 42.18 | 2.142 | 37 |
| 52.00 | 1.759 | 30 |
| 69.35 | 1.355 | 17 |

Structure:
```
10
Lattice="-4.791 4.791 3.079 4.791 -4.791 3.079 4.791 4.791 -3.079" Properties=species:S:1:pos:R:3 pbc="T T T"
Ho 0.000 0.000 0.000
Ho 5.683 1.954 -0.843
Ho 1.954 3.899 -0.843
Ho 2.837 0.892 2.236
Ho -0.892 2.837 2.236
Cu 0.000 0.000 3.089
Sn 3.861 -2.015 2.206
Sn 5.720 2.015 2.206
Sn 2.015 3.861 2.206
Sn -2.015 5.720 2.206
```

***

Diffraction record for La2AlGeRh6. The PXRD pattern is theoretical, not measured: it uses a crystal structure in Alexandria, relaxed with PBE and Cu Ka.
Peak positions follow from Bragg's law for the DFT cell and can differ from measured ones.

Most intense lines, 5° ≤ 2θ ≤ 70°, low angle first:
| 2θ (°) | d_spacing | I (rel.) |
| --- | --- | --- |
| 27.40 | 3.255 | 11 |
| 33.73 | 2.657 | 100 |
| 39.14 | 2.301 | 78 |
| 56.54 | 1.628 | 44 |
| 56.62 | 1.626 | 9 |
| 67.49 | 1.388 | 39 |

Structure:
```
10
Lattice="-3.251 3.258 4.602 3.251 -3.258 4.602 3.251 3.258 -4.602" Properties=species:S:1:pos:R:3 pbc="T T T"
La 0.000 0.000 2.301
La 0.000 0.000 6.903
Al 0.000 3.258 0.000
Ge 3.251 0.000 0.000
Rh 1.617 1.637 0.000
Rh 1.634 -1.621 4.602
Rh 3.251 0.000 2.312
Rh 0.000 3.258 2.290
Rh 1.617 4.880 0.000
Rh 1.634 1.621 4.602
```

***

Diffraction record for Tb12NdTm5. The PXRD pattern is theoretical, not measured: it uses a crystal structure in Alexandria, relaxed with PBE and Cu Ka.
Peak positions follow from Bragg's law for the DFT cell and can differ from measured ones.

Most intense lines, 5° ≤ 2θ ≤ 70°, low angle first:
| 2θ (°) | d_spacing | I (rel.) |
| --- | --- | --- |
| 30.89 | 2.895 | 100 |
| 35.82 | 2.507 | 51 |
| 51.56 | 1.773 | 36 |
| 61.32 | 1.512 | 43 |
| 64.36 | 1.447 | 12 |

Structure:
```
18
Lattice="7.515 -7.527 0.000 7.515 7.527 0.000 0.000 0.000 5.014" Properties=species:S:1:pos:R:3 pbc="T T T"
Tb 5.029 5.024 2.507
Tb 2.485 0.000 0.000
Tb 5.008 2.522 0.000
Tb 4.995 0.000 2.507
Tb 10.001 5.024 2.507
Tb 10.023 2.522 0.000
Tb 5.008 -2.522 0.000
Tb 5.029 -5.024 2.507
Tb 10.035 0.000 2.507
Tb 10.023 -2.522 0.000
Tb 12.545 0.000 0.000
Tb 10.001 -5.024 2.507
Nd 7.515 0.000 0.000
Tm 0.000 0.000 2.507
Tm 7.515 5.020 0.000
Tm 7.515 2.531 2.507
Tm 7.515 -2.531 2.507
Tm 7.515 -5.020 0.000
```

***

Diffraction record for KLaCuI5. The PXRD pattern is theoretical, not measured: it uses a crystal structure in Alexandria, relaxed with PBE and Cu Ka.
Peak positions follow from Bragg's law for the DFT cell and can differ from measured ones.

Most intense lines, 5° ≤ 2θ ≤ 70°, low angle first:
| 2θ (°) | d_spacing | I (rel.) |
| --- | --- | --- |
| 16.87 | 5.257 | 50 |
| 21.96 | 4.048 | 55 |
| 23.92 | 3.720 | 57 |
| 24.90 | 3.576 | 100 |
| 33.16 | 2.702 | 68 |
| 40.00 | 2.254 | 50 |

Structure:
```
16
Lattice="5.068 -6.736 0.000 5.068 6.736 0.000 -4.677 0.000 10.631" Properties=species:S:1:pos:R:3 pbc="T T T"
K 1.561 4.941 7.973
K 3.899 -4.941 2.658
La 5.068 0.000 0.000
La 2.730 0.000 5.316
Cu 3.899 4.214 2.658
Cu 1.561 -4.214 7.973
I -2.545 1.013 9.927
I 2.073 2.747 3.870
I -0.207 -1.013 4.612
I 1.561 1.335 7.973
I 5.725 2.747 1.446
I -0.265 -2.747 9.186
I 3.899 -1.335 2.658
I 5.667 1.013 6.019
I 3.386 -2.747 6.761
I 8.005 -1.013 0.704
```

***

Diffraction record for V3SnCl8. The PXRD pattern is theoretical, not measured: it uses a crystal structure in Alexandria, relaxed with PBE and Cu Ka.
Peak positions follow from Bragg's law for the DFT cell and can differ from measured ones.

Most intense lines, 5° ≤ 2θ ≤ 70°, low angle first:
| 2θ (°) | d_spacing | I (rel.) |
| --- | --- | --- |
| 13.99 | 6.331 | 100 |
| 27.51 | 3.242 | 35 |
| 33.02 | 2.713 | 61 |
| 33.32 | 2.689 | 30 |
| 47.35 | 1.920 | 18 |
| 47.88 | 1.900 | 28 |

Structure:
```
12
Lattice="6.581 -3.801 0.000 6.581 3.801 0.000 -4.465 0.000 6.331" Properties=species:S:1:pos:R:3 pbc="T T T"
V 0.000 0.000 0.000
V 3.291 1.900 0.000
V 3.291 -1.900 0.000
Sn 6.581 0.000 0.000
Cl 5.366 2.105 1.397
Cl 2.194 0.000 1.299
Cl -0.314 0.000 4.934
Cl 3.331 2.105 4.934
Cl 5.366 -2.105 1.397
Cl 9.011 0.000 1.396
Cl 6.503 0.000 5.032
Cl 3.331 -2.105 4.934
```

***

Diffraction record for NaScBeB. The PXRD pattern is theoretical, not measured: it uses a crystal structure in Alexandria, relaxed with PBE and Cu Ka.
Peak positions follow from Bragg's law for the DFT cell and can differ from measured ones.

Most intense lines, 5° ≤ 2θ ≤ 70°, low angle first:
| 2θ (°) | d_spacing | I (rel.) |
| --- | --- | --- |
| 23.33 | 3.813 | 25 |
| 34.01 | 2.636 | 100 |
| 40.99 | 2.202 | 54 |
| 50.02 | 1.824 | 9 |
| 54.29 | 1.690 | 23 |
| 66.59 | 1.404 | 22 |

Structure:
```
4
Lattice="4.403 0.000 0.000 -2.202 3.813 0.000 0.000 0.000 3.647" Properties=species:S:1:pos:R:3 pbc="T T T"
Na 0.000 0.000 0.000
Sc 0.000 2.542 1.824
Be 2.202 1.271 0.000
B 2.202 1.271 1.824
```

***

Diffraction record for SiTe4. The PXRD pattern is theoretical, not measured: it uses a crystal structure in Alexandria, relaxed with PBE and Cu Ka.
Peak positions follow from Bragg's law for the DFT cell and can differ from measured ones.

Most intense lines, 5° ≤ 2θ ≤ 70°, low angle first:
| 2θ (°) | d_spacing | I (rel.) |
| --- | --- | --- |
| 27.09 | 3.291 | 32 |
| 28.02 | 3.185 | 89 |
| 28.32 | 3.152 | 23 |
| 34.62 | 2.591 | 100 |
| 39.59 | 2.276 | 43 |
| 47.87 | 1.900 | 39 |

Structure:
```
5
Lattice="3.800 0.000 0.000 -1.900 3.291 0.000 0.000 0.000 12.607" Properties=species:S:1:pos:R:3 pbc="T T T"
Si 0.000 0.000 0.000
Te 0.000 2.194 7.355
Te 0.000 2.194 10.986
Te 1.900 1.097 1.621
Te 1.900 1.097 5.252
```

***

Diffraction record for PuAgHgO4. The PXRD pattern is theoretical, not measured: it uses a crystal structure in Alexandria, relaxed with PBE and Cu Ka.
Peak positions follow from Bragg's law for the DFT cell and can differ from measured ones.

Most intense lines, 5° ≤ 2θ ≤ 70°, low angle first:
| 2θ (°) | d_spacing | I (rel.) |
| --- | --- | --- |
| 15.85 | 5.592 | 51 |
| 28.54 | 3.128 | 100 |
| 29.70 | 3.008 | 71 |
| 30.56 | 2.925 | 49 |
| 32.01 | 2.796 | 58 |
| 53.26 | 1.720 | 54 |

Structure:
```
14
Lattice="-3.507 3.773 4.632 3.507 -3.773 4.632 3.507 3.773 -4.632" Properties=species:S:1:pos:R:3 pbc="T T T"
Pu 0.000 0.000 0.000
Pu 0.000 3.773 0.000
Ag 3.507 1.887 0.984
Ag 0.000 1.887 3.648
Hg 1.754 1.887 -2.316
Hg 1.754 -1.887 2.316
O 1.471 1.887 -0.272
O 2.036 -1.887 4.360
O 0.000 0.327 1.857
O 3.507 0.327 2.775
O 0.000 3.446 1.857
O 3.507 3.446 2.775
O 1.471 5.660 0.272
O 2.036 1.887 4.904
```

***

Diffraction record for Ac6NiHg3. The PXRD pattern is theoretical, not measured: it uses a crystal structure in Alexandria, relaxed with PBE and Cu Ka.
Peak positions follow from Bragg's law for the DFT cell and can differ from measured ones.

Most intense lines, 5° ≤ 2θ ≤ 70°, low angle first:
| 2θ (°) | d_spacing | I (rel.) |
| --- | --- | --- |
| 25.25 | 3.528 | 69 |
| 25.64 | 3.474 | 77 |
| 27.05 | 3.296 | 97 |
| 27.89 | 3.199 | 100 |
| 33.60 | 2.667 | 75 |
| 37.00 | 2.430 | 65 |

Structure:
```
20
Lattice="8.036 0.000 0.000 0.000 8.494 0.000 -6.423 0.000 10.990" Properties=species:S:1:pos:R:3 pbc="T T T"
Ac -0.975 0.446 2.675
Ac -4.187 3.801 8.170
Ac 1.226 5.875 0.877
Ac -1.986 6.866 6.372
Ac 2.464 1.415 0.653
Ac -0.748 2.832 6.148
Ac 2.361 5.662 4.842
Ac -0.851 7.079 10.337
Ac 3.599 1.628 4.618
Ac 0.387 2.619 10.113
Ac 5.800 4.693 2.820
Ac 2.588 8.048 8.315
Ni 0.000 0.000 0.000
Ni -3.212 4.247 5.495
Hg -2.336 0.978 8.508
Hg 0.876 3.269 3.013
Hg 0.806 0.000 5.495
Hg 4.018 4.247 0.000
Hg 0.737 5.224 7.977
Hg 3.949 7.516 2.482
```

***

Diffraction record for CuPb3Cl2O4. The PXRD pattern is theoretical, not measured: it uses a crystal structure in Alexandria, relaxed with PBE and Cu Ka.
Peak positions follow from Bragg's law for the DFT cell and can differ from measured ones.

Most intense lines, 5° ≤ 2θ ≤ 70°, low angle first:
| 2θ (°) | d_spacing | I (rel.) |
| --- | --- | --- |
| 8.63 | 10.242 | 45 |
| 23.47 | 3.790 | 46 |
| 23.58 | 3.773 | 45 |
| 30.66 | 2.916 | 100 |
| 30.91 | 2.893 | 97 |
| 31.88 | 2.807 | 52 |

Structure:
```
20
Lattice="7.032 0.000 0.000 0.000 5.580 0.000 -2.431 0.000 10.242" Properties=species:S:1:pos:R:3 pbc="T T T"
Cu 0.000 0.000 0.000
Cu 0.000 2.790 0.000
Pb -0.006 1.395 3.201
Pb 1.219 4.185 5.579
Pb 2.677 4.185 2.038
Pb 1.924 1.395 8.204
Pb 3.382 1.395 4.664
Pb 4.607 4.185 7.041
Cl -0.607 1.395 6.244
Cl 0.433 4.185 8.708
Cl 4.168 1.395 1.534
Cl 5.208 4.185 3.998
O 0.473 4.185 1.133
O 0.752 1.395 0.958
O 1.773 2.799 3.784
O 1.773 5.571 3.784
O 2.828 0.009 6.458
O 2.828 2.781 6.458
O 3.849 4.185 9.284
O 4.128 1.395 9.109
```

***

What is the formula in the ninth record?
SiTe4